This entry pairs a crystal structure of PuPa2Si with its theoretical powder X-ray diffraction pattern. Radiation: Cu Ka. Structure: a DFT-relaxed cell (GGA-PBE, Alexandria).

Top 10 peaks for 15 to 90 degrees two-theta, sorted by position:
hkl  2theta  d (Å)  Rel. int.
1 0 0  19.69  4.508  16.8
1 0 1  28.93  3.086  13.6
1 1 1  35.24  2.547  100.0
2 0 0  40.00  2.254  35.6
0 0 2  42.72  2.117  14.8
2 2 0  57.85  1.594  12.4
2 0 2  59.95  1.543  22.3
3 1 1  69.58  1.351  28.9
1 1 3  73.38  1.290  12.5
2 2 2  74.52  1.273  12.0

Structure:
a b c (Å): 4.508 4.508 4.233
angles (deg): 90.00 90.00 90.00
Space group P4/mmm (No. 123)
Unique sites:
1 Pu 0.000 0.000 0.000 x1
2 Pa 0.000 0.500 0.500 x2
3 Si 0.500 0.500 0.000 x1